Simulated X-ray powder pattern of As2P3Cl9 for Cu Kα, from a PBE-relaxed structure.
Peak positions follow from Bragg's law for the DFT cell and can differ from measured ones.

The 10 most intense peaks (15° ≤ 2θ ≤ 90°), by angle:
- 15.09 deg, intensity 100, hkl 1 1 1
- 17.60 deg, intensity 59, hkl 0 0 2
- 20.62 deg, intensity 96, hkl 1 1 -2
- 21.79 deg, intensity 88, hkl 3 1 0
- 23.01 deg, intensity 47, hkl 2 0 2
- 23.61 deg, intensity 30, hkl 2 2 0
- 24.33 deg, intensity 61, hkl 3 1 1
- 26.52 deg, intensity 68, hkl 0 2 2
- 28.42 deg, intensity 53, hkl 1 1 -3
- 28.72 deg, intensity 61, hkl 2 2 -2

Crystal structure
Unit cell a=13.7993 b=9.0205 c=10.1413 alpha=90.00 beta=96.26 gamma=90.00
Space group C2 (No. 5)
Asymmetric unit:
1 As 0.1884 0.0000 0.2340 x4
2 P 0.0000 0.4435 0.0000 x2
3 P 0.1848 0.9819 0.7551 x4
4 Cl 0.0000 0.2181 0.0000 x2
5 Cl 0.1020 0.8044 0.2804 x4
6 Cl 0.1585 0.1463 0.3989 x4
7 Cl 0.1646 0.4214 0.6894 x4
8 Cl 0.1938 0.8242 0.9006 x4

---

Simulated X-ray powder pattern of Y3Sc4In4 for Cu Kα, from a PBE-relaxed structure.
Peak positions follow from Bragg's law for the DFT cell and can differ from measured ones.

The 10 most intense peaks (15° ≤ 2θ ≤ 90°), by angle:
- 23.98 deg, intensity 21, hkl 1 0 3
- 30.07 deg, intensity 31, hkl 0 1 5
- 30.87 deg, intensity 31, hkl 1 1 4
- 31.69 deg, intensity 100, hkl 1 2 1
- 32.71 deg, intensity 21, hkl 0 0 6
- 35.58 deg, intensity 43, hkl 2 0 0
- 39.62 deg, intensity 21, hkl 1 1 6
- 41.82 deg, intensity 29, hkl 1 2 5
- 47.26 deg, intensity 17, hkl 2 1 5
- 61.47 deg, intensity 14, hkl 3 2 1

Crystal structure
Unit cell a=5.0471 b=6.9657 c=16.4266 alpha=90.00 beta=90.00 gamma=90.00
Space group Immm (No. 71)
Asymmetric unit:
1 Y 0.0000 0.0000 0.0000 x2
2 Y 0.0000 0.5000 0.1118 x4
3 Sc 0.0000 0.2780 0.3214 x8
4 In 0.0000 0.0000 0.1871 x4
5 In 0.0000 0.2117 0.5000 x4

---

Simulated X-ray powder pattern of Pr3Nd3Cd for Cu Kα, from a PBE-relaxed structure.
Peak positions follow from Bragg's law for the DFT cell and can differ from measured ones.

The 10 most intense peaks (15° ≤ 2θ ≤ 90°), by angle:
- 28.15 deg, intensity 24, hkl 1 2 0
- 31.00 deg, intensity 25, hkl 0 0 2
- 32.22 deg, intensity 100, hkl 1 2 1
- 42.36 deg, intensity 16, hkl 1 2 2
- 49.83 deg, intensity 19, hkl 4 1 0
- 55.92 deg, intensity 21, hkl 1 2 3
- 59.85 deg, intensity 21, hkl 4 1 2
- 60.59 deg, intensity 15, hkl 2 4 1
- 82.17 deg, intensity 12, hkl 7 0 1
- 85.76 deg, intensity 8, hkl 4 1 4

Crystal structure
Unit cell a=9.6842 b=9.6842 c=5.7699 alpha=90.00 beta=90.00 gamma=120.00
Space group P6_3/m (No. 176)
Asymmetric unit:
1 Pr 0.1085 0.6302 0.2500 x6
2 Nd 0.0625 0.8178 0.7500 x6
3 Cd 0.3333 0.6667 0.7500 x2